Entry 1:
Starting from a structure optimized by DFT (PBE), the powder diffraction line list of NdInNi2 was calculated for λ = 1.5418 Å (Cu Kα).
No peak broadening, texture or thermal motion is included.

Top 10 peaks for 2θ from 10° to 80°, by angle:
- 30.6°, rel. 1000, (1 1 1)
- 33.3°, rel. 201, (0 1 2)
- 34.7°, rel. 308, (2 0 0)
- 37.7°, rel. 863, (0 0 3)
- 41.7°, rel. 236, (1 0 3)
- 43.2°, rel. 259, (2 0 2)
- 43.3°, rel. 238, (2 1 1)
- 44.4°, rel. 343, (0 2 0)
- 47.5°, rel. 195, (1 1 3)
- 59.6°, rel. 239, (0 2 3)

Structural model:
```
data_NdInNi2
_chemical_formula_sum 'Nd2 In2 Ni4'
_cell_length_a 5.175
_cell_length_b 4.081
_cell_length_c 7.154
_cell_angle_alpha 90.00
_cell_angle_beta 90.00
_cell_angle_gamma 90.00
_symmetry_space_group_name_H-M 'P m m a'
_symmetry_Int_Tables_number 51
loop_
_symmetry_equiv_pos_as_xyz
'x,y,z'
'-x,-y,-z'
'-x+1/2,-y,z'
'x+1/2,y,-z'
'x+1/2,-y,-z'
'-x+1/2,y,z'
'-x,y,-z'
'x,-y,z'
loop_
_atom_site_label
_atom_site_type_symbol
_atom_site_fract_x
_atom_site_fract_y
_atom_site_fract_z
Nd1 Nd 0.250 0.000 0.223
In1 In 0.250 0.500 0.844
Ni1 Ni 0.000 0.500 0.500
Ni2 Ni 0.250 0.000 0.606
```


Entry 2:
Starting from a structure optimized by DFT (PBE), the powder diffraction line list of W2Se3S was calculated for λ = 1.5418 Å (Cu Kα).
No peak broadening, texture or thermal motion is included.

Top 10 peaks for 2θ from 10° to 80°, by angle:
- 11.8°, rel. 1000, (0 0 5)
- 14.2°, rel. 223, (0 0 6)
- 31.4°, rel. 266, (1 0 0)
- 33.7°, rel. 134, (1 0 5)
- 37.0°, rel. 611, (1 0 8)
- 44.8°, rel. 374, (0 1 13)
- 46.6°, rel. 128, (1 0 14)
- 56.0°, rel. 199, (1 1 0)
- 57.4°, rel. 111, (1 1 5)
- 79.3°, rel. 101, (1 1 21)

Structural model:
```
data_W2Se3S
_chemical_formula_sum 'W4 Se6 S2'
_cell_length_a 3.2862
_cell_length_b 3.2862
_cell_length_c 37.4474
_cell_angle_alpha 90.00
_cell_angle_beta 90.00
_cell_angle_gamma 120.00
_symmetry_space_group_name_H-M 'P 3 m 1'
_symmetry_Int_Tables_number 156
loop_
_symmetry_equiv_pos_as_xyz
'x,y,z'
'-y,x-y,z'
'-x+y,-x,z'
'-y,-x,z'
'-x+y,y,z'
'x,x-y,z'
loop_
_atom_site_label
_atom_site_type_symbol
_atom_site_fract_x
_atom_site_fract_y
_atom_site_fract_z
W1 W 0.0000 0.0000 0.0000
W2 W 0.0000 0.0000 0.3757
W3 W 0.3333 0.6667 0.1879
W4 W 0.3333 0.6667 0.5636
Se1 Se 0.0000 0.0000 0.5183
Se2 Se 0.0000 0.0000 0.6089
Se3 Se 0.3333 0.6667 0.0453
Se4 Se 0.3333 0.6667 0.3304
Se5 Se 0.3333 0.6667 0.4210
Se6 Se 0.3333 0.6667 0.9547
S1 S 0.0000 0.0000 0.1467
S2 S 0.0000 0.0000 0.2290
```


Entry 3:
Starting from a structure optimized by DFT (PBE), the powder diffraction line list of Na2LiTbCl6 was calculated for λ = 1.5418 Å (Cu Kα).
No peak broadening, texture or thermal motion is included.

Top 10 peaks for 2θ from 10° to 80°, by angle:
- 14.9°, rel. 1000, (1 1 1)
- 17.2°, rel. 964, (2 0 0)
- 24.5°, rel. 430, (2 2 0)
- 28.8°, rel. 729, (3 1 1)
- 34.9°, rel. 831, (4 0 0)
- 38.1°, rel. 386, (3 3 1)
- 39.2°, rel. 449, (4 2 0)
- 45.8°, rel. 247, (3 3 3)
- 50.2°, rel. 543, (4 4 0)
- 52.6°, rel. 245, (5 3 1)

Structural model:
```
data_Na2LiTbCl6
_chemical_formula_sum 'Na8 Li4 Tb4 Cl24'
_cell_length_a 10.290
_cell_length_b 10.290
_cell_length_c 10.290
_cell_angle_alpha 90.00
_cell_angle_beta 90.00
_cell_angle_gamma 90.00
_symmetry_space_group_name_H-M 'F m -3 m'
_symmetry_Int_Tables_number 225
_symmetry_space_group_name_Hall '-F 4 2 3'
loop_
_atom_site_label
_atom_site_type_symbol
_atom_site_fract_x
_atom_site_fract_y
_atom_site_fract_z
Na1 Na 0.250 0.250 0.250
Li1 Li 0.000 0.000 0.000
Tb1 Tb 0.000 0.000 0.500
Cl1 Cl 0.000 0.000 0.245
```


Entry 4:
Starting from a structure optimized by DFT (PBE), the powder diffraction line list of Rb2Na2Al3Ge3O12 was calculated for λ = 1.5418 Å (Cu Kα).
No peak broadening, texture or thermal motion is included.

Top 10 peaks for 2θ from 10° to 80°, by angle:
- 22.5°, rel. 306, (2 1 1)
- 23.6°, rel. 178, (3 0 1)
- 24.8°, rel. 751, (4 1 0)
- 26.7°, rel. 231, (0 2 1)
- 29.0°, rel. 1000, (2 2 1)
- 29.9°, rel. 480, (4 1 1)
- 33.3°, rel. 375, (0 0 2)
- 35.8°, rel. 172, (0 3 1)
- 45.9°, rel. 177, (8 0 0)
- 65.2°, rel. 182, (10 2 1)

Structural model:
```
data_Rb2Na2Al3Ge3O12
_chemical_formula_sum 'Rb4 Na4 Al6 Ge6 O24'
_cell_length_a 15.829
_cell_length_b 8.501
_cell_length_c 5.388
_cell_angle_alpha 90.00
_cell_angle_beta 90.00
_cell_angle_gamma 90.00
_symmetry_space_group_name_H-M 'P m n 21'
_symmetry_Int_Tables_number 31
loop_
_symmetry_equiv_pos_as_xyz
'x,y,z'
'-x+1/2,-y,z+1/2'
'-x,y,z'
'x+1/2,-y,z+1/2'
loop_
_atom_site_label
_atom_site_type_symbol
_atom_site_fract_x
_atom_site_fract_y
_atom_site_fract_z
Rb1 Rb 0.241 0.176 0.000
Na1 Na 0.000 0.321 0.986
Na2 Na 0.000 0.685 0.486
Al1 Al 0.000 0.895 0.027
Al2 Al 0.141 0.395 0.512
Ge1 Ge 0.000 0.108 0.528
Ge2 Ge 0.142 0.611 0.013
O1 O 0.000 0.074 0.200
O2 O 0.000 0.931 0.701
O3 O 0.089 0.223 0.623
O4 O 0.090 0.782 0.123
O5 O 0.112 0.444 0.202
O6 O 0.113 0.561 0.700
O7 O 0.249 0.341 0.531
```


Entry 5:
Starting from a structure optimized by DFT (PBE), the powder diffraction line list of BiPO4 was calculated for λ = 1.5418 Å (Cu Kα).
No peak broadening, texture or thermal motion is included.

Top 10 peaks for 2θ from 10° to 80°, by angle:
- 14.4°, rel. 832, (1 0 0)
- 19.9°, rel. 1000, (0 1 1)
- 25.0°, rel. 227, (1 1 0)
- 28.6°, rel. 332, (1 1 1)
- 29.0°, rel. 975, (2 0 0)
- 31.2°, rel. 775, (0 1 2)
- 37.5°, rel. 308, (1 1 2)
- 41.2°, rel. 487, (1 2 1)
- 48.1°, rel. 500, (2 1 2)
- 51.7°, rel. 243, (0 2 3)

Structural model:
```
data_BiPO4
_chemical_formula_sum 'Bi3 P3 O12'
_cell_length_a 7.1164
_cell_length_b 7.1164
_cell_length_c 6.4811
_cell_angle_alpha 90.00
_cell_angle_beta 90.00
_cell_angle_gamma 120.00
_symmetry_space_group_name_H-M 'P 31 2 1'
_symmetry_Int_Tables_number 152
loop_
_symmetry_equiv_pos_as_xyz
'x,y,z'
'-y,x-y,z+1/3'
'-x+y,-x,z+2/3'
'y,x,-z'
'x-y,-y,-z+2/3'
'-x,-x+y,-z+1/3'
loop_
_atom_site_label
_atom_site_type_symbol
_atom_site_fract_x
_atom_site_fract_y
_atom_site_fract_z
Bi1 Bi 0.0000 0.4901 0.1667
P1 P 0.0000 0.4597 0.6667
O1 O 0.1238 0.6451 0.8259
O2 O 0.1522 0.4122 0.5322
```


Entry 6:
Starting from a structure optimized by DFT (PBE), the powder diffraction line list of LiGdAu2 was calculated for λ = 1.5418 Å (Cu Kα).
No peak broadening, texture or thermal motion is included.

Top 10 peaks for 2θ from 10° to 80°, by angle:
- 22.3°, rel. 173, (1 1 1)
- 25.8°, rel. 221, (2 0 0)
- 36.8°, rel. 1000, (2 2 0)
- 43.4°, rel. 91, (3 1 1)
- 45.4°, rel. 68, (2 2 2)
- 53.0°, rel. 177, (4 0 0)
- 58.1°, rel. 38, (3 3 1)
- 59.8°, rel. 91, (4 2 0)
- 66.2°, rel. 365, (4 2 2)
- 78.2°, rel. 115, (4 4 0)

Structural model:
```
data_LiGdAu2
_chemical_formula_sum 'Li4 Gd4 Au8'
_cell_length_a 6.916
_cell_length_b 6.916
_cell_length_c 6.916
_cell_angle_alpha 90.00
_cell_angle_beta 90.00
_cell_angle_gamma 90.00
_symmetry_space_group_name_H-M 'F m -3 m'
_symmetry_Int_Tables_number 225
_symmetry_space_group_name_Hall '-F 4 2 3'
loop_
_atom_site_label
_atom_site_type_symbol
_atom_site_fract_x
_atom_site_fract_y
_atom_site_fract_z
Li1 Li 0.000 0.000 0.000
Gd1 Gd 0.000 0.000 0.500
Au1 Au 0.250 0.250 0.250
```